Calculated powder diffractogram of Eu3Si2As4 for a wavelength of 1.5418 Å, from DFT lattice parameters and positions (PBE).

Cell and atoms:
Lattice parameters (Å, degrees): 7.502 17.968 7.356 90.00 111.44 90.00
Fractional positions:
Eu1 0.224 0.185 0.013
Eu2 0.224 0.315 0.513
Eu3 0.252 0.063 0.511
Eu4 0.252 0.437 0.011
Eu5 0.259 0.559 0.500
Eu6 0.259 0.941 0.000
Eu7 0.741 0.059 0.000
Eu8 0.741 0.441 0.500
Eu9 0.748 0.563 0.989
Eu10 0.748 0.937 0.489
Eu11 0.776 0.685 0.487
Eu12 0.776 0.815 0.987
Si1 0.211 0.629 0.029
Si2 0.211 0.871 0.529
Si3 0.313 0.740 0.917
Si4 0.313 0.760 0.417
Si5 0.687 0.240 0.583
Si6 0.687 0.260 0.083
Si7 0.789 0.129 0.471
Si8 0.789 0.371 0.971
As1 0.010 0.561 0.754
As2 0.010 0.939 0.254
As3 0.038 0.687 0.223
As4 0.038 0.813 0.723
As5 0.494 0.568 0.238
As6 0.494 0.932 0.738
As7 0.498 0.697 0.724
As8 0.498 0.803 0.224
As9 0.502 0.197 0.776
As10 0.502 0.303 0.276
As11 0.506 0.068 0.262
As12 0.506 0.432 0.762
As13 0.962 0.187 0.277
As14 0.962 0.313 0.777
As15 0.990 0.061 0.746
As16 0.990 0.439 0.246

Largest 12 diffraction maxima, by intensity, 2θ from 10° to 90°:
2theta, I (rel.)
29.15, 100
41.33, 23
42.01, 22
50.34, 13
43.25, 13
40.15, 12
60.49, 8
66.30, 6
53.54, 6
52.41, 6
68.98, 5
70.73, 5

---

Calculated powder diffractogram of AgN for a wavelength of 1.5418 Å, from DFT lattice parameters and positions (PBE).

Cell and atoms:
Lattice parameters (Å, degrees): 2.874 2.874 2.874 90.00 90.00 90.00
Fractional positions:
Ag1 0.000 0.000 0.000
N1 0.500 0.500 0.500

Largest 6 diffraction maxima, by intensity, 2θ from 10° to 90°:
2theta, I (rel.)
44.58, 100
31.12, 86
82.14, 30
73.70, 28
55.36, 22
64.88, 15

---

Calculated powder diffractogram of KIO3 for a wavelength of 1.5418 Å, from DFT lattice parameters and positions (PBE).

Cell and atoms:
Lattice parameters (Å, degrees): 9.081 9.081 9.081 89.12 89.12 89.12
Fractional positions:
K1 0.000 0.000 0.000
K2 0.003 0.491 0.509
K3 0.007 0.502 0.992
K4 0.491 0.509 0.003
K5 0.499 0.499 0.499
K6 0.502 0.992 0.007
K7 0.509 0.003 0.491
K8 0.992 0.007 0.502
I1 0.241 0.745 0.258
I2 0.245 0.245 0.245
I3 0.250 0.755 0.740
I4 0.258 0.241 0.745
I5 0.740 0.250 0.755
I6 0.745 0.258 0.241
I7 0.749 0.749 0.749
I8 0.755 0.740 0.250
O1 0.045 0.243 0.285
O2 0.045 0.787 0.294
O3 0.051 0.796 0.742
O4 0.055 0.240 0.740
O5 0.240 0.740 0.055
O6 0.243 0.285 0.045
O7 0.246 0.553 0.741
O8 0.247 0.546 0.299
O9 0.285 0.045 0.243
O10 0.294 0.045 0.787
O11 0.295 0.790 0.545
O12 0.299 0.247 0.546
O13 0.545 0.295 0.790
O14 0.546 0.299 0.247
O15 0.552 0.735 0.798
O16 0.553 0.741 0.246
O17 0.735 0.798 0.552
O18 0.740 0.055 0.240
O19 0.741 0.246 0.553
O20 0.742 0.051 0.796
O21 0.787 0.294 0.045
O22 0.790 0.545 0.295
O23 0.796 0.742 0.051
O24 0.798 0.552 0.735

Largest 12 diffraction maxima, by intensity, 2θ from 10° to 90°:
2theta, I (rel.)
27.58, 100
19.55, 95
28.01, 85
39.71, 54
49.29, 33
48.50, 20
64.63, 19
44.92, 17
44.35, 17
49.56, 17
65.29, 16
57.89, 15

---

Calculated powder diffractogram of BaC2 for a wavelength of 1.5418 Å, from DFT lattice parameters and positions (PBE).

Cell and atoms:
Lattice parameters (Å, degrees): 4.788 4.788 4.788 125.19 125.19 81.22
Fractional positions:
Ba1 0.000 0.000 0.000
C1 0.413 0.413 0.000
C2 0.587 0.587 0.000

Largest 12 diffraction maxima, by intensity, 2θ from 10° to 90°:
2theta, I (rel.)
23.61, 100
28.65, 60
38.04, 47
24.49, 38
47.82, 32
42.58, 30
48.30, 23
40.96, 22
60.56, 21
72.66, 14
82.44, 11
58.82, 10

---

Calculated powder diffractogram of LiEr4Zr4O14 for a wavelength of 1.5418 Å, from DFT lattice parameters and positions (PBE).

Cell and atoms:
Lattice parameters (Å, degrees): 3.518 7.631 11.183 90.00 90.00 90.00
Fractional positions:
Li1 0.000 0.000 0.000
Er1 0.000 0.000 0.295
Er2 0.000 0.500 0.828
Er3 0.500 0.257 0.541
Er4 0.500 0.743 0.541
Zr1 0.000 0.000 0.750
Zr2 0.000 0.500 0.300
Zr3 0.500 0.274 0.065
Zr4 0.500 0.726 0.065
O1 0.000 0.212 0.430
O2 0.000 0.243 0.961
O3 0.000 0.263 0.197
O4 0.000 0.281 0.690
O5 0.000 0.719 0.690
O6 0.000 0.737 0.197
O7 0.000 0.757 0.961
O8 0.000 0.788 0.430
O9 0.500 0.000 0.103
O10 0.500 0.000 0.616
O11 0.500 0.000 0.846
O12 0.500 0.500 0.174
O13 0.500 0.500 0.415
O14 0.500 0.500 0.937

Largest 12 diffraction maxima, by intensity, 2θ from 10° to 90°:
2theta, I (rel.)
28.32, 100
30.01, 91
47.91, 52
34.68, 39
57.36, 27
60.25, 24
32.01, 21
47.67, 18
51.98, 15
54.82, 10
14.05, 9
73.18, 9